No. 1
# Ga2CuS4
Simulated X-ray diffraction stick pattern, a wavelength of 1.5418 Å. Input: a DFT-relaxed cell (PBE, OQMD).
Peak positions follow from Bragg's law for the DFT cell and can differ from measured ones.

The 12 most intense peaks (10° ≤ 2θ ≤ 90°), by angle:
2theta  I_rel
15.2  16
24.9  30
25.1  14
29.1  50
29.4  100
35.1  21
35.8  39
46.2  21
47.0  38
51.0  80
51.5  39
60.2  13

Structural model:
```
data_Ga2CuS4
_chemical_formula_sum 'Ga8 Cu4 S16'
_cell_length_a 7.101
_cell_length_b 7.101
_cell_length_c 10.227
_cell_angle_alpha 90.00
_cell_angle_beta 90.00
_cell_angle_gamma 90.00
_symmetry_space_group_name_H-M 'P 1'
_symmetry_Int_Tables_number 1
loop_
_symmetry_equiv_pos_as_xyz
'x,y,z'
loop_
_atom_site_label
_atom_site_type_symbol
_atom_site_fract_x
_atom_site_fract_y
_atom_site_fract_z
_atom_site_occupancy
Ga1 Ga 0.000 0.265 0.000 1
Ga2 Ga 0.000 0.735 0.500 1
Ga3 Ga 0.247 0.247 0.375 1
Ga4 Ga 0.247 0.753 0.125 1
Ga5 Ga 0.265 0.000 0.750 1
Ga6 Ga 0.735 0.000 0.250 1
Ga7 Ga 0.753 0.247 0.625 1
Ga8 Ga 0.753 0.753 0.875 1
Cu1 Cu 0.247 0.500 0.750 1
Cu2 Cu 0.500 0.247 0.000 1
Cu3 Cu 0.500 0.753 0.500 1
Cu4 Cu 0.753 0.500 0.250 1
S1 S 0.021 0.251 0.758 1
S2 S 0.021 0.749 0.742 1
S3 S 0.251 0.021 0.992 1
S4 S 0.251 0.979 0.508 1
S5 S 0.256 0.490 0.990 1
S6 S 0.256 0.510 0.510 1
S7 S 0.490 0.256 0.760 1
S8 S 0.490 0.744 0.740 1
S9 S 0.510 0.256 0.240 1
S10 S 0.510 0.744 0.260 1
S11 S 0.744 0.490 0.010 1
S12 S 0.744 0.510 0.490 1
S13 S 0.749 0.021 0.008 1
S14 S 0.749 0.979 0.492 1
S15 S 0.979 0.251 0.242 1
S16 S 0.979 0.749 0.258 1
```


No. 2
# Zr2Al2O5
Simulated X-ray diffraction stick pattern, a wavelength of 1.5418 Å. Input: a DFT-relaxed cell (PBE, OQMD).
Peak positions follow from Bragg's law for the DFT cell and can differ from measured ones.

The 12 most intense peaks (10° ≤ 2θ ≤ 90°), by angle:
2theta  I_rel
19.9  25
25.4  43
32.5  100
36.2  27
40.4  10
41.7  12
48.3  13
52.2  25
55.3  39
62.8  29
68.0  9
68.4  10

Structural model:
```
data_Zr2Al2O5
_chemical_formula_sum 'Zr2 Al2 O5'
_cell_length_a 3.507
_cell_length_b 3.507
_cell_length_c 8.938
_cell_angle_alpha 90.00
_cell_angle_beta 90.00
_cell_angle_gamma 90.00
_symmetry_space_group_name_H-M 'P 1'
_symmetry_Int_Tables_number 1
loop_
_symmetry_equiv_pos_as_xyz
'x,y,z'
loop_
_atom_site_label
_atom_site_type_symbol
_atom_site_fract_x
_atom_site_fract_y
_atom_site_fract_z
_atom_site_occupancy
Zr1 Zr 0.000 0.000 0.241 1
Zr2 Zr 0.000 0.000 0.759 1
Al1 Al 0.500 0.500 0.000 1
Al2 Al 0.500 0.500 0.500 1
O1 O 0.000 0.000 0.000 1
O2 O 0.000 0.500 0.367 1
O3 O 0.000 0.500 0.633 1
O4 O 0.500 0.000 0.367 1
O5 O 0.500 0.000 0.633 1
```


No. 3
# HfZr2Ni2As4Pd2
Simulated X-ray diffraction stick pattern, a wavelength of 1.5418 Å. Input: a DFT-relaxed cell (PBE, OQMD).
Peak positions follow from Bragg's law for the DFT cell and can differ from measured ones.

The 12 most intense peaks (10° ≤ 2θ ≤ 90°), by angle:
2theta  I_rel
11.9  59
13.4  26
29.3  20
35.7  67
36.2  84
37.6  91
37.9  43
38.4  31
43.1  100
45.2  34
46.7  61
48.4  19

Structural model:
```
data_HfZr2Ni2As4Pd2
_chemical_formula_sum 'Hf1 Zr2 Ni2 As4 Pd2'
_cell_length_a 6.603
_cell_length_b 3.888
_cell_length_c 7.466
_cell_angle_alpha 90.00
_cell_angle_beta 91.05
_cell_angle_gamma 90.00
_symmetry_space_group_name_H-M 'P 1'
_symmetry_Int_Tables_number 1
loop_
_symmetry_equiv_pos_as_xyz
'x,y,z'
loop_
_atom_site_label
_atom_site_type_symbol
_atom_site_fract_x
_atom_site_fract_y
_atom_site_fract_z
_atom_site_occupancy
Hf1 Hf 0.000 0.000 0.000 1
Zr1 Zr 0.487 0.000 0.868 1
Zr2 Zr 0.931 0.500 0.384 1
Ni1 Ni 0.081 0.000 0.638 1
Ni2 Ni 0.837 0.500 0.749 1
As1 As 0.207 0.500 0.785 1
As2 As 0.215 0.000 0.335 1
As3 As 0.709 0.000 0.581 1
As4 As 0.716 0.500 0.053 1
Pd1 Pd 0.305 0.500 0.131 1
Pd2 Pd 0.606 0.000 0.257 1
```


No. 4
# Nd4CI2Br3
Simulated X-ray diffraction stick pattern, a wavelength of 1.5418 Å. Input: a DFT-relaxed cell (PBE, OQMD).
Peak positions follow from Bragg's law for the DFT cell and can differ from measured ones.

The 12 most intense peaks (10° ≤ 2θ ≤ 90°), by angle:
2theta  I_rel
10.6  22
27.5  19
29.2  46
29.8  28
30.6  100
33.1  26
35.6  16
42.3  15
42.5  27
43.1  30
45.2  19
54.7  15

Structural model:
```
data_Nd4CI2Br3
_chemical_formula_sum 'Nd4 C1 I2 Br3'
_cell_length_a 9.594
_cell_length_b 9.594
_cell_length_c 8.545
_cell_angle_alpha 101.74
_cell_angle_beta 101.74
_cell_angle_gamma 24.16
_symmetry_space_group_name_H-M 'P 1'
_symmetry_Int_Tables_number 1
loop_
_symmetry_equiv_pos_as_xyz
'x,y,z'
loop_
_atom_site_label
_atom_site_type_symbol
_atom_site_fract_x
_atom_site_fract_y
_atom_site_fract_z
_atom_site_occupancy
Nd1 Nd 0.002 0.002 0.297 1
Nd2 Nd 0.362 0.362 0.434 1
Nd3 Nd 0.638 0.638 0.566 1
Nd4 Nd 0.998 0.998 0.703 1
C1 C 0.500 0.500 0.500 1
I1 I 0.167 0.167 0.855 1
I2 I 0.833 0.833 0.145 1
Br1 Br 0.169 0.169 0.327 1
Br2 Br 0.500 0.500 0.000 1
Br3 Br 0.831 0.831 0.673 1
```